Diffraction record for Rb2ZrNiBr6. The PXRD pattern is calculated, not measured: it uses a crystal structure in Alexandria, relaxed with PBE and Cu Kα, 1.54184 Å.
Neutral-atom scattering factors, no anomalous dispersion.

Structure:
```
data_Rb2ZrNiBr6
_chemical_formula_sum 'Rb4 Zr2 Ni2 Br12'
_space_group_name_H-M_alt 'I 4/m m m'
_space_group_IT_number 139
_space_group_name_Hall '-I 4 2'
_cell_length_a 7.561
_cell_length_b 7.561
_cell_length_c 10.719
_cell_angle_alpha 90.00
_cell_angle_beta 90.00
_cell_angle_gamma 90.00
loop_
_atom_site_label
_atom_site_type_symbol
_atom_site_fract_x
_atom_site_fract_y
_atom_site_fract_z
Rb1 Rb 0.000 0.500 0.250
Zr1 Zr 0.000 0.000 0.000
Ni1 Ni 0.000 0.000 0.500
Br1 Br 0.000 0.000 0.252
Br2 Br 0.247 0.247 0.500
```

Main lines, in order of rising 2θ (2θ from 15° to 90°):
16.57°, 5.351 Å, I = 20; 23.51°, 3.784 Å, I = 21; 28.90°, 3.089 Å, I = 75; 33.49°, 2.675 Å, I = 100; 48.10°, 1.892 Å, I = 70; 57.13°, 1.612 Å, I = 21; 59.88°, 1.545 Å, I = 24; 77.81°, 1.228 Å, I = 13; 80.28°, 1.196 Å, I = 20; 89.84°, 1.092 Å, I = 16

Diffraction record for LaTb2ScSb4. The PXRD pattern is calculated, not measured: it uses a crystal structure in Alexandria, relaxed with PBE and Cu Kα, 1.54184 Å.
Neutral-atom scattering factors, no anomalous dispersion.

Structure:
```
data_LaTb2ScSb4
_chemical_formula_sum 'La2 Tb4 Sc2 Sb8'
_space_group_name_H-M_alt 'I 4/m m m'
_space_group_IT_number 139
_space_group_name_Hall '-I 4 2'
_cell_length_a 6.254
_cell_length_b 6.254
_cell_length_c 12.414
_cell_angle_alpha 90.00
_cell_angle_beta 90.00
_cell_angle_gamma 90.00
loop_
_atom_site_label
_atom_site_type_symbol
_atom_site_fract_x
_atom_site_fract_y
_atom_site_fract_z
La1 La 0.000 0.000 0.000
Tb1 Tb 0.000 0.500 0.250
Sc1 Sc 0.000 0.000 0.500
Sb1 Sb 0.000 0.000 0.261
Sb2 Sb 0.000 0.500 0.000
```

Main lines, in order of rising 2θ (2θ from 15° to 90°):
28.54°, 3.127 Å, I = 100; 28.77°, 3.104 Å, I = 48; 40.81°, 2.211 Å, I = 38; 40.97°, 2.203 Å, I = 74; 50.69°, 1.801 Å, I = 39; 59.08°, 1.564 Å, I = 13; 66.91°, 1.398 Å, I = 17; 67.02°, 1.396 Å, I = 17; 67.37°, 1.390 Å, I = 16; 74.40°, 1.275 Å, I = 25

Diffraction record for Ba2Mg6Ga3. The PXRD pattern is calculated, not measured: it uses a crystal structure in Alexandria, relaxed with PBE and Cu Kα, 1.54184 Å.
Neutral-atom scattering factors, no anomalous dispersion.

Structure:
```
data_Ba2Mg6Ga3
_chemical_formula_sum 'Ba2 Mg6 Ga3'
_space_group_name_H-M_alt 'P -6 2 m'
_space_group_IT_number 189
_space_group_name_Hall 'P -6 -2'
_cell_length_a 8.8042
_cell_length_b 8.8042
_cell_length_c 4.5565
_cell_angle_alpha 90.00
_cell_angle_beta 90.00
_cell_angle_gamma 120.00
loop_
_atom_site_label
_atom_site_type_symbol
_atom_site_fract_x
_atom_site_fract_y
_atom_site_fract_z
Ba1 Ba 0.3333 0.6667 0.0000
Mg1 Mg 0.0000 0.2907 0.5000
Mg2 Mg 0.0000 0.7996 0.0000
Ga1 Ga 0.0000 0.6244 0.5000
```

Main lines, in order of rising 2θ (2θ from 15° to 90°):
20.17°, 4.402 Å, I = 25; 28.19°, 3.166 Å, I = 100; 30.58°, 2.924 Å, I = 20; 31.03°, 2.882 Å, I = 16; 35.32°, 2.542 Å, I = 39; 36.91°, 2.436 Å, I = 29; 39.56°, 2.278 Å, I = 17; 45.78°, 1.982 Å, I = 21; 54.06°, 1.696 Å, I = 23; 59.11°, 1.563 Å, I = 24

Diffraction record for PmPrSmCd. The PXRD pattern is calculated, not measured: it uses a crystal structure in Alexandria, relaxed with PBE and Cu Kα, 1.54184 Å.
Neutral-atom scattering factors, no anomalous dispersion.

Structure:
```
data_PmPrSmCd
_chemical_formula_sum 'Pm1 Pr1 Sm1 Cd1'
_space_group_name_H-M_alt 'P 4 m m'
_space_group_IT_number 99
_cell_length_a 3.714
_cell_length_b 3.714
_cell_length_c 9.135
_cell_angle_alpha 90.00
_cell_angle_beta 90.00
_cell_angle_gamma 90.00
loop_
_space_group_symop_operation_xyz
'x,y,z'
'-y,x,z'
'-x,-y,z'
'y,-x,z'
'-x,y,z'
'y,x,z'
'x,-y,z'
'-y,-x,z'
loop_
_atom_site_label
_atom_site_type_symbol
_atom_site_fract_x
_atom_site_fract_y
_atom_site_fract_z
Pm1 Pm 0.000 0.000 0.000
Pr1 Pr 0.500 0.500 0.721
Sm1 Sm 0.000 0.000 0.444
Cd1 Cd 0.500 0.500 0.224
```

Main lines, in order of rising 2θ (2θ from 15° to 90°):
31.03°, 2.882 Å, I = 100; 34.14°, 2.626 Å, I = 41; 39.46°, 2.284 Å, I = 11; 49.05°, 1.857 Å, I = 15; 53.15°, 1.723 Å, I = 18; 59.19°, 1.561 Å, I = 31; 64.69°, 1.441 Å, I = 10; 66.35°, 1.409 Å, I = 6; 80.35°, 1.195 Å, I = 6; 82.05°, 1.175 Å, I = 7